For Pm2ThMg6, the GGA-PBE geometry in Alexandria gives the theoretical powder diffractogram in this record (λ = 1.5418 Å (Cu Kα)).
Neutral-atom scattering factors, no anomalous dispersion.

Principal peaks in the range 5 to 70 degrees two-theta, low angle first:
- 19.4 deg, I 100.0
- 33.3 deg, I 97.2
- 33.9 deg, I 59.5
- 39.3 deg, I 17.0
- 43.7 deg, I 17.3
- 48.2 deg, I 34.6
- 60.2 deg, I 35.7
- 66.5 deg, I 16.7

Structure:
```
Pm2ThMg6
1.0
9.1683 0.0000 0.0000
-4.5842 7.9400 0.0000
0.0000 0.0000 3.3210
Pm Th Mg
2 1 6
direct
0.3333 0.6667 0.0000 Pm
0.6667 0.3333 0.0000 Pm
0.0000 0.0000 0.0000 Th
0.0000 0.3332 0.5000 Mg
0.0000 0.6668 0.5000 Mg
0.3332 0.0000 0.5000 Mg
0.3332 0.3332 0.5000 Mg
0.6668 0.0000 0.5000 Mg
0.6668 0.6668 0.5000 Mg
```